# TlFeSe2
Theoretical powder XRD pattern, Cu Kα. Input: the PBE geometry in the Materials Project.
Intensities are scaled so that the largest is 100.

Principal peaks in the range 2θ from 5° to 70°, low angle first:
| d [Å] | Rel. int. |
| --- | --- |
| 3.648 | 19 |
| 2.957 | 100 |
| 2.668 | 27 |
| 2.500 | 23 |
| 1.776 | 26 |
| 1.591 | 32 |

Cell and atoms:
Unit cell a=7.6241 b=7.6241 c=7.6241 alpha=151.34 beta=151.34 gamma=40.97
Atoms (fractional coordinates):
Tl1 0.0000 0.0000 0.0000
Fe1 0.2500 0.7500 0.5000
Se1 0.3521 0.3521 0.0000
Se2 0.6479 0.6479 0.0000

***

# Tl2FeSe2
Theoretical powder XRD pattern, Cu Kα. Input: the PBE geometry in the Materials Project.
Intensities are scaled so that the largest is 100.

Principal peaks in the range 2θ from 5° to 70°, low angle first:
| d [Å] | Rel. int. |
| --- | --- |
| 5.874 | 35 |
| 3.125 | 100 |
| 2.609 | 44 |
| 2.298 | 36 |
| 1.589 | 27 |
| 1.439 | 17 |

Cell and atoms:
Unit cell a=6.9368 b=6.9368 c=6.9368 alpha=135.81 beta=135.81 gamma=64.27
Atoms (fractional coordinates):
Tl1 0.2500 0.7500 0.5000
Tl2 0.7500 0.2500 0.5000
Fe1 0.0000 0.0000 0.0000
Se1 0.3975 0.3975 0.0000
Se2 0.6025 0.6025 0.0000

***

# TlFeSe2
Theoretical powder XRD pattern, Cu Kα. Input: the PBE geometry in the Materials Project.
Intensities are scaled so that the largest is 100.

Principal peaks in the range 2θ from 5° to 70°, low angle first:
| d [Å] | Rel. int. |
| --- | --- |
| 4.306 | 27 |
| 3.100 | 100 |
| 2.879 | 81 |
| 2.860 | 32 |
| 2.748 | 30 |
| 1.982 | 44 |

Cell and atoms:
Unit cell a=6.9761 b=6.9761 c=6.9450 alpha=116.08 beta=116.08 gamma=46.40
Atoms (fractional coordinates):
Tl1 0.1866 0.1866 0.1385
Tl2 0.8134 0.8134 0.8615
Fe1 0.2485 0.7515 0.5000
Fe2 0.7515 0.2485 0.5000
Se1 0.1646 0.1646 0.5881
Se2 0.4643 0.4643 0.2073
Se3 0.5357 0.5357 0.7927
Se4 0.8354 0.8354 0.4119

***

What is the formula in the third record?
TlFeSe2

***

Repeat the third record exactly.
# TlFeSe2
Theoretical powder XRD pattern, Cu Kα. Input: the PBE geometry in the Materials Project.
Intensities are scaled so that the largest is 100.

Principal peaks in the range 2θ from 5° to 70°, low angle first:
| d [Å] | Rel. int. |
| --- | --- |
| 4.306 | 27 |
| 3.100 | 100 |
| 2.879 | 81 |
| 2.860 | 32 |
| 2.748 | 30 |
| 1.982 | 44 |

Cell and atoms:
Unit cell a=6.9761 b=6.9761 c=6.9450 alpha=116.08 beta=116.08 gamma=46.40
Atoms (fractional coordinates):
Tl1 0.1866 0.1866 0.1385
Tl2 0.8134 0.8134 0.8615
Fe1 0.2485 0.7515 0.5000
Fe2 0.7515 0.2485 0.5000
Se1 0.1646 0.1646 0.5881
Se2 0.4643 0.4643 0.2073
Se3 0.5357 0.5357 0.7927
Se4 0.8354 0.8354 0.4119